# 1
For Ba3NdIr2O9, a DFT-relaxed cell (GGA-PBE, the Materials Project) gives the theoretical powder diffraction line list in this record (copper Kα).
Kinematic intensities with the Lorentz-polarization factor, no thermal factor.

Atomic structure:
Lattice parameters (Å, degrees): 5.9907 5.9907 15.0515 90.80 90.80 119.85
Sites, in units of the cell vectors:
1 Ba 0.0033 0.9967 0.7500
2 Ba 0.3278 0.6591 0.4005
3 Ba 0.3409 0.6722 0.0995
4 Ba 0.6591 0.3278 0.9005
5 Ba 0.6722 0.3409 0.5995
6 Ba 0.9967 0.0033 0.2500
7 Nd 0.0000 0.0000 0.0000
8 Nd 0.0000 0.0000 0.5000
9 Ir 0.3194 0.6526 0.8337
10 Ir 0.3474 0.6806 0.6663
11 Ir 0.6526 0.3194 0.3337
12 Ir 0.6806 0.3474 0.1663
13 O 0.0207 0.5077 0.7407
14 O 0.1482 0.3291 0.9002
15 O 0.1478 0.7959 0.9073
16 O 0.2041 0.8522 0.5927
17 O 0.2058 0.3900 0.5789
18 O 0.3291 0.1482 0.4002
19 O 0.3900 0.2058 0.0789
20 O 0.4917 0.5083 0.7500
21 O 0.4923 0.9793 0.7593
22 O 0.5077 0.0207 0.2407
23 O 0.5083 0.4917 0.2500
24 O 0.6100 0.7942 0.9211
25 O 0.6709 0.8518 0.5998
26 O 0.7942 0.6100 0.4211
27 O 0.7959 0.1478 0.4073
28 O 0.8522 0.2041 0.0927
29 O 0.8518 0.6709 0.0998
30 O 0.9793 0.4923 0.2593

Principal peaks in the range 10 to 80 degrees two-theta, sorted by position:
two_theta  d/Å  Rel. int.
18.2  4.874  10
29.0  3.082  21
29.3  3.044  19
29.7  3.012  17
29.8  2.997  100
41.8  2.162  11
42.3  2.134  11
52.9  1.731  17
53.0  1.728  10
62.0  1.498  11

# 2
For Ba4NdIr3O12, a DFT-relaxed cell (GGA-PBE, the Materials Project) gives the theoretical powder diffraction line list in this record (copper Kα).
Kinematic intensities with the Lorentz-polarization factor, no thermal factor.

Atomic structure:
Lattice parameters (Å, degrees): 6.0050 6.0050 10.7897 108.79 108.79 59.94
Sites, in units of the cell vectors:
1 Ba 0.1287 0.1287 0.3874
2 Ba 0.2764 0.2764 0.8517
3 Ba 0.7236 0.7236 0.1483
4 Ba 0.8713 0.8713 0.6126
5 Nd 0.0000 0.0000 0.0000
6 Ir 0.4285 0.4285 0.2454
7 Ir 0.5000 0.5000 0.5000
8 Ir 0.5715 0.5715 0.7546
9 O 0.1504 0.6182 0.3665
10 O 0.2385 0.2385 0.1119
11 O 0.2457 0.7171 0.1466
12 O 0.2829 0.7543 0.8534
13 O 0.3750 0.3750 0.6079
14 O 0.3818 0.8496 0.6335
15 O 0.6182 0.1504 0.3665
16 O 0.6250 0.6250 0.3921
17 O 0.7171 0.2457 0.1466
18 O 0.7543 0.2829 0.8534
19 O 0.7615 0.7615 0.8881
20 O 0.8496 0.3818 0.6335

Principal peaks in the range 10 to 80 degrees two-theta, sorted by position:
two_theta  d/Å  Rel. int.
17.4  5.096  14
17.9  4.952  12
26.2  3.401  15
27.3  3.266  31
29.8  2.999  100
34.9  2.571  11
40.1  2.250  16
45.3  2.003  10
52.9  1.732  20
61.9  1.500  18

# 3
For Ba3SrNd2Ir2O12, a DFT-relaxed cell (GGA-PBE, the Materials Project) gives the theoretical powder diffraction line list in this record (copper Kα).
Kinematic intensities with the Lorentz-polarization factor, no thermal factor.

Atomic structure:
Lattice parameters (Å, degrees): 6.0249 6.0658 8.5601 90.51 90.11 90.30
Sites, in units of the cell vectors:
1 Ba 0.0000 0.0000 0.0000
2 Ba 0.0022 0.9937 0.5045
3 Ba 0.5024 0.4939 0.0048
4 Sr 0.4943 0.5028 0.4966
5 Nd 0.0003 0.4969 0.7510
6 Nd 0.5015 0.9971 0.2537
7 Ir 0.0020 0.4968 0.2545
8 Ir 0.5010 0.9971 0.7507
9 O 0.0358 0.5249 0.4833
10 O 0.2053 0.7525 0.2276
11 O 0.2436 0.2011 0.7525
12 O 0.2636 0.2965 0.2564
13 O 0.2980 0.7410 0.7755
14 O 0.4756 0.9610 0.5217
15 O 0.5270 0.0257 0.9824
16 O 0.6994 0.2569 0.7203
17 O 0.7400 0.6977 0.2589
18 O 0.7584 0.7934 0.7505
19 O 0.7955 0.2445 0.2797
20 O 0.9753 0.4691 0.0224

Principal peaks in the range 10 to 80 degrees two-theta, sorted by position:
two_theta  d/Å  Rel. int.
29.4  3.034  100
29.6  3.017  66
29.7  3.009  33
42.2  2.141  37
42.4  2.132  18
52.1  1.756  14
52.4  1.746  20
52.5  1.742  35
61.1  1.517  17
69.5  1.352  15